The following is a theoretical powder diffractogram of CuPtF6. It was derived from a DFT-relaxed cell (PBE, the Materials Project), using copper Kα.
Neutral-atom scattering factors, no anomalous dispersion.

Peak list (10 most intense, 2θ from 10° to 80°, sorted by position)
hkl 0 0 2, 2θ 19.0, intensity 18
hkl 1 1 0, 2θ 21.3, intensity 40
hkl 1 0 -1, 2θ 23.8, intensity 100
hkl 1 1 2, 2θ 24.3, intensity 48
hkl 1 1 -2, 2θ 32.5, intensity 20
hkl 0 1 3, 2θ 32.8, intensity 38
hkl 1 2 1, 2θ 35.6, intensity 10
hkl 2 1 1, 2θ 35.7, intensity 10
hkl 2 1 -3, 2θ 53.1, intensity 16
hkl 2 1 5, 2θ 54.0, intensity 14

Structural model:
a = 5.029 Å, b = 5.045 Å, c = 9.728 Å
α = 76.10°, β = 76.05°, γ = 60.85°
Space group P-1 (No. 2)
Unique sites:
Cu 0.000 0.000 0.000 [1 per cell]
Cu 0.500 0.500 0.500 [1 per cell]
Pt 0.227 0.282 0.250 [2 per cell]
F 0.042 0.351 0.874 [2 per cell]
F 0.141 0.749 0.627 [2 per cell]
F 0.212 0.545 0.375 [2 per cell]
F 0.253 0.007 0.126 [2 per cell]
F 0.409 0.701 0.871 [2 per cell]
F 0.489 0.919 0.371 [2 per cell]